Li3Cr4PO19: simulated XRD peak list (λ = 1.5418 Å (Cu Kα)), based on DFT lattice parameters and positions (PBE+U).

Largest 10 diffraction maxima, in order of rising 2θ, 2θ from 5° to 70°:
two_theta	d (Å)	I/Imax	h k l
14.96	5.923	33	1 1 -1
18.97	4.678	35	0 2 1
20.00	4.439	64	2 0 -1
23.67	3.758	45	1 3 0
24.57	3.624	36	2 2 -1
24.80	3.590	60	1 1 -2
24.95	3.569	100	2 2 0
25.14	3.543	53	1 3 -1
25.25	3.527	29	0 0 2
28.55	3.127	24	0 4 0

Structure:
```
data_Li3Cr4PO19
_cell_length_a 9.261
_cell_length_b 12.503
_cell_length_c 7.512
_cell_angle_alpha 90.00
_cell_angle_beta 110.12
_cell_angle_gamma 90.00
_symmetry_space_group_name_H-M 'C 1 m 1'
_symmetry_Int_Tables_number 8
loop_
_symmetry_equiv_pos_as_xyz
'x,y,z'
'x,-y,z'
'x+1/2,y+1/2,z'
'x+1/2,-y+1/2,z'
loop_
_atom_site_label
_atom_site_fract_x
_atom_site_fract_y
_atom_site_fract_z
Li1 0.000 0.000 0.000
Li2 0.374 0.255 0.603
Cr1 0.305 0.188 0.117
Cr2 0.425 0.500 0.448
Cr3 0.471 0.000 0.726
P1 0.066 0.500 0.157
O1 0.071 0.500 0.588
O2 0.107 0.500 0.974
O3 0.151 0.119 0.015
O4 0.181 0.290 0.683
O5 0.215 0.500 0.328
O6 0.304 0.233 0.319
O7 0.315 0.289 0.982
O8 0.365 0.107 0.695
O9 0.372 0.500 0.713
O10 0.476 0.102 0.166
O11 0.483 0.500 0.268
O12 0.493 0.391 0.572
```